Entry 1:
Diffraction record for Ac3In4Ni4. The X-ray powder pattern is computed, not measured: it uses the PBE geometry in Alexandria and Cu Kα.
No peak broadening, texture or thermal motion is included.

Structure:
a b c (Å): 8.8069 8.8069 8.8069
angles (deg): 152.70 124.98 62.50
Positions (direct):
Ac  0.0000  0.0000  0.0000
Ac  0.3830  0.8830  0.5000
Ac  0.6170  0.1170  0.5000
In  0.0158  0.3257  0.6901
In  0.3643  0.6743  0.6901
In  0.6357  0.3257  0.3099
In  0.9842  0.6743  0.3099
Ni  0.2296  0.2296  0.0000
Ni  0.2881  0.5000  0.7881
Ni  0.7119  0.5000  0.2119
Ni  0.7704  0.7704  0.0000

Main lines, by intensity (2θ from 10° to 90°):
31.33 deg, intensity 100; 33.96 deg, intensity 84; 31.68 deg, intensity 41; 37.70 deg, intensity 38; 43.54 deg, intensity 29; 58.93 deg, intensity 21


Entry 2:
Diffraction record for Ac2ScIn12Ni3. The X-ray powder pattern is computed, not measured: it uses the PBE geometry in Alexandria and Cu Kα.
No peak broadening, texture or thermal motion is included.

Structure:
a b c (Å): 8.5682 8.5682 8.5682
angles (deg): 66.84 66.84 66.84
Positions (direct):
Ac  0.0868  0.0868  0.0868
Ac  0.9132  0.9132  0.9132
Sc  0.5000  0.5000  0.5000
In  0.0862  0.6472  0.6472
In  0.2196  0.2196  0.6034
In  0.2196  0.6034  0.2196
In  0.3528  0.3528  0.9138
In  0.3528  0.9138  0.3528
In  0.3966  0.7804  0.7804
In  0.6034  0.2196  0.2196
In  0.6472  0.0862  0.6472
In  0.6472  0.6472  0.0862
In  0.7804  0.3966  0.7804
In  0.7804  0.7804  0.3966
In  0.9138  0.3528  0.3528
Ni  0.0000  0.5000  0.5000
Ni  0.5000  0.0000  0.5000
Ni  0.5000  0.5000  0.0000

Main lines, by intensity (2θ from 10° to 90°):
30.30 deg, intensity 100; 38.14 deg, intensity 100; 31.43 deg, intensity 94; 22.21 deg, intensity 92; 28.30 deg, intensity 57; 33.47 deg, intensity 55


Entry 3:
Diffraction record for AcInPdO6. The X-ray powder pattern is computed, not measured: it uses the PBE geometry in Alexandria and Cu Kα.
No peak broadening, texture or thermal motion is included.

Structure:
a b c (Å): 5.5046 5.5046 5.2660
angles (deg): 90.00 90.00 120.00
Positions (direct):
Ac  0.0000  0.0000  0.0000
In  0.3333  0.6667  0.5000
Pd  0.6667  0.3333  0.5000
O  0.3793  0.0254  0.7152
O  0.3793  0.3539  0.2848
O  0.6461  0.0254  0.2848
O  0.6461  0.6207  0.7152
O  0.9746  0.3539  0.7152
O  0.9746  0.6207  0.2848

Main lines, by intensity (2θ from 10° to 90°):
25.20 deg, intensity 100; 47.81 deg, intensity 37; 32.53 deg, intensity 37; 41.59 deg, intensity 26; 53.77 deg, intensity 25; 58.04 deg, intensity 12


Entry 4:
Diffraction record for AcInRe2O8. The X-ray powder pattern is computed, not measured: it uses the PBE geometry in Alexandria and Cu Kα.
No peak broadening, texture or thermal motion is included.

Structure:
a b c (Å): 8.1327 8.1327 8.1327
angles (deg): 43.45 43.45 43.45
Positions (direct):
Ac  0.0000  0.0000  0.0000
In  0.5000  0.5000  0.5000
Re  0.2453  0.2453  0.2453
Re  0.7547  0.7547  0.7547
O  0.0080  0.7374  0.4380
O  0.1653  0.1653  0.1653
O  0.2626  0.5620  0.9920
O  0.4380  0.0080  0.7374
O  0.5620  0.9920  0.2626
O  0.7374  0.4380  0.0080
O  0.8347  0.8347  0.8347
O  0.9920  0.2626  0.5620

Main lines, by intensity (2θ from 10° to 90°):
23.48 deg, intensity 100; 29.68 deg, intensity 54; 36.88 deg, intensity 30; 49.10 deg, intensity 26; 38.19 deg, intensity 25; 58.87 deg, intensity 17


Entry 5:
Diffraction record for Ac2InReO8. The X-ray powder pattern is computed, not measured: it uses the PBE geometry in Alexandria and Cu Kα.
No peak broadening, texture or thermal motion is included.

Structure:
a b c (Å): 5.7380 5.9216 6.7496
angles (deg): 76.19 78.72 70.50
Positions (direct):
Ac  0.0836  0.1494  0.2088
Ac  0.9164  0.8506  0.7912
In  0.5000  0.5000  0.5000
Re  0.5000  0.5000  0.0000
O  0.2255  0.8150  0.4850
O  0.2686  0.8192  0.9902
O  0.2803  0.4172  0.8698
O  0.3375  0.3949  0.2630
O  0.6625  0.6051  0.7370
O  0.7197  0.5828  0.1302
O  0.7314  0.1808  0.0098
O  0.7745  0.1850  0.5150

Main lines, by intensity (2θ from 10° to 90°):
26.54 deg, intensity 100; 30.31 deg, intensity 57; 19.35 deg, intensity 48; 29.19 deg, intensity 45; 19.12 deg, intensity 42; 37.91 deg, intensity 40


Entry 6:
Diffraction record for Ac2TiInO6. The X-ray powder pattern is computed, not measured: it uses the PBE geometry in Alexandria and Cu Kα.
No peak broadening, texture or thermal motion is included.

Structure:
a b c (Å): 5.7200 5.7200 6.0974
angles (deg): 114.73 114.73 89.35
Positions (direct):
Ac  0.2363  0.7637  0.0000
Ac  0.7637  0.2363  0.0000
Ti  0.0779  0.0779  0.6045
In  0.5243  0.5243  0.5161
O  0.2541  0.2541  0.1035
O  0.3586  0.8772  0.6967
O  0.3656  0.3656  0.7202
O  0.8655  0.8655  0.6703
O  0.8772  0.3586  0.6967
O  0.9188  0.9188  0.2283

Main lines, by intensity (2θ from 10° to 90°):
28.64 deg, intensity 100; 31.35 deg, intensity 75; 27.11 deg, intensity 57; 29.88 deg, intensity 47; 17.99 deg, intensity 38; 47.03 deg, intensity 29